(1)
This entry pairs a crystal structure of K3Tc with its simulated X-ray diffraction stick pattern. Radiation: λ = 1.5418 Å (Cu Kα). Structure: a cell relaxed with PBE.

Cell and atoms:
Lattice parameters (Å, degrees): 6.325 6.325 6.325 60.00 60.00 60.00
Fractional positions:
K: 0.000 0.000 0.000
K: 0.250 0.250 0.250
K: 0.750 0.750 0.750
Tc: 0.500 0.500 0.500

Main lines, sorted by position (2θ from 10° to 90°):
- d = 5.165 Å, 2θ = 17.17°, I 15
- d = 4.473 Å, 2θ = 19.85°, I 8
- d = 3.163 Å, 2θ = 28.22°, I 100
- d = 2.697 Å, 2θ = 33.22°, I 9
- d = 2.236 Å, 2θ = 40.33°, I 18
- d = 2.052 Å, 2θ = 44.13°, I 4
- d = 1.826 Å, 2θ = 49.95°, I 37
- d = 1.581 Å, 2θ = 58.35°, I 11
- d = 1.414 Å, 2θ = 66.06°, I 15
- d = 1.195 Å, 2θ = 80.32°, I 16



(2)
This entry pairs a crystal structure of Al2Ag2Bi2S3Cl8 with its simulated X-ray diffraction stick pattern. Radiation: λ = 1.5418 Å (Cu Kα). Structure: a cell relaxed with PBE.

Cell and atoms:
Lattice parameters (Å, degrees): 7.011 7.011 22.794 90.00 90.00 120.00
Fractional positions:
Al: 0.333 0.667 0.080
Al: 0.333 0.667 0.420
Al: 0.667 0.333 0.580
Al: 0.667 0.333 0.920
Ag: 0.000 0.000 0.250
Ag: 0.000 0.000 0.750
Ag: 0.333 0.667 0.250
Ag: 0.667 0.333 0.750
Bi: 0.333 0.667 0.673
Bi: 0.333 0.667 0.827
Bi: 0.667 0.333 0.173
Bi: 0.667 0.333 0.327
S: 0.048 0.380 0.750
S: 0.332 0.952 0.750
S: 0.380 0.048 0.250
S: 0.620 0.668 0.750
S: 0.668 0.620 0.250
S: 0.952 0.332 0.250
Cl: 0.097 0.751 0.116
Cl: 0.097 0.751 0.384
Cl: 0.249 0.345 0.116
Cl: 0.249 0.345 0.384
Cl: 0.333 0.667 0.513
Cl: 0.333 0.667 0.987
Cl: 0.345 0.249 0.616
Cl: 0.345 0.249 0.884
Cl: 0.655 0.903 0.116
Cl: 0.655 0.903 0.384
Cl: 0.667 0.333 0.013
Cl: 0.667 0.333 0.487
Cl: 0.751 0.097 0.616
Cl: 0.751 0.097 0.884
Cl: 0.903 0.655 0.616
Cl: 0.903 0.655 0.884

Main lines, sorted by position (2θ from 10° to 90°):
- d = 6.071 Å, 2θ = 14.59°, I 38
- d = 5.867 Å, 2θ = 15.10°, I 49
- d = 3.646 Å, 2θ = 24.42°, I 58
- d = 3.505 Å, 2θ = 25.41°, I 100
- d = 3.350 Å, 2θ = 26.60°, I 49
- d = 2.870 Å, 2θ = 31.17°, I 83
- d = 2.527 Å, 2θ = 35.53°, I 44
- d = 2.050 Å, 2θ = 44.18°, I 33
- d = 2.024 Å, 2θ = 44.78°, I 42
- d = 1.876 Å, 2θ = 48.53°, I 50



(3)
This entry pairs a crystal structure of KCdN with its simulated X-ray diffraction stick pattern. Radiation: λ = 1.5418 Å (Cu Kα). Structure: a cell relaxed with PBE.

Cell and atoms:
Lattice parameters (Å, degrees): 5.123 5.123 4.018 90.00 90.00 120.00
Fractional positions:
K: 0.000 0.000 0.000
Cd: 0.667 0.333 0.500
N: 0.667 0.333 0.000

Main lines, sorted by position (2θ from 10° to 90°):
- d = 4.437 Å, 2θ = 20.01°, I 100
- d = 2.978 Å, 2θ = 30.00°, I 88
- d = 2.562 Å, 2θ = 35.03°, I 52
- d = 2.218 Å, 2θ = 40.67°, I 15
- d = 1.942 Å, 2θ = 46.78°, I 25
- d = 1.830 Å, 2θ = 49.82°, I 16
- d = 1.677 Å, 2θ = 54.74°, I 12
- d = 1.581 Å, 2θ = 58.37°, I 21
- d = 1.548 Å, 2θ = 59.75°, I 24
- d = 1.287 Å, 2θ = 73.57°, I 9



(4)
This entry pairs a crystal structure of Nd12Re5C15 with its simulated X-ray diffraction stick pattern. Radiation: λ = 1.5418 Å (Cu Kα). Structure: a cell relaxed with PBE.

Cell and atoms:
Lattice parameters (Å, degrees): 11.026 11.026 5.348 90.00 90.00 120.00
Fractional positions:
Nd: 0.000 0.424 0.000
Nd: 0.000 0.795 0.000
Nd: 0.187 0.730 0.500
Nd: 0.205 0.205 0.000
Nd: 0.270 0.457 0.500
Nd: 0.424 0.000 0.000
Nd: 0.457 0.270 0.500
Nd: 0.543 0.813 0.500
Nd: 0.576 0.576 0.000
Nd: 0.730 0.187 0.500
Nd: 0.795 0.000 0.000
Nd: 0.813 0.543 0.500
Re: 0.000 0.154 0.500
Re: 0.154 0.000 0.500
Re: 0.333 0.667 0.000
Re: 0.667 0.333 0.000
Re: 0.846 0.846 0.500
C: 0.000 0.329 0.500
C: 0.000 0.453 0.500
C: 0.000 0.793 0.500
C: 0.192 0.718 0.000
C: 0.207 0.207 0.500
C: 0.282 0.473 0.000
C: 0.329 0.000 0.500
C: 0.453 0.000 0.500
C: 0.473 0.282 0.000
C: 0.527 0.808 0.000
C: 0.547 0.547 0.500
C: 0.671 0.671 0.500
C: 0.718 0.192 0.000
C: 0.793 0.000 0.500
C: 0.808 0.527 0.000

Main lines, sorted by position (2θ from 10° to 90°):
- d = 4.666 Å, 2θ = 19.02°, I 10
- d = 2.992 Å, 2θ = 29.87°, I 100
- d = 2.735 Å, 2θ = 32.74°, I 25
- d = 2.674 Å, 2θ = 33.51°, I 40
- d = 2.648 Å, 2θ = 33.85°, I 42
- d = 2.450 Å, 2θ = 36.68°, I 17
- d = 1.882 Å, 2θ = 48.37°, I 31
- d = 1.598 Å, 2θ = 57.67°, I 16
- d = 1.555 Å, 2θ = 59.45°, I 9
- d = 1.405 Å, 2θ = 66.55°, I 9



(5)
This entry pairs a crystal structure of Na5OsO6 with its simulated X-ray diffraction stick pattern. Radiation: λ = 1.5418 Å (Cu Kα). Structure: a cell relaxed with PBE.

Cell and atoms:
Lattice parameters (Å, degrees): 5.697 5.697 5.654 100.39 100.39 119.43
Fractional positions:
Na: 0.000 0.000 0.000
Na: 0.167 0.833 0.500
Na: 0.326 0.674 0.000
Na: 0.674 0.326 0.000
Na: 0.833 0.167 0.500
Os: 0.500 0.500 0.500
O: 0.151 0.429 0.284
O: 0.299 0.299 0.703
O: 0.429 0.151 0.284
O: 0.571 0.849 0.716
O: 0.701 0.701 0.297
O: 0.849 0.571 0.716

Main lines, sorted by position (2θ from 10° to 90°):
- d = 5.280 Å, 2θ = 16.79°, I 69
- d = 4.920 Å, 2θ = 18.03°, I 55
- d = 4.711 Å, 2θ = 18.84°, I 100
- d = 4.238 Å, 2θ = 20.96°, I 76
- d = 3.599 Å, 2θ = 24.74°, I 47
- d = 3.069 Å, 2θ = 29.10°, I 26
- d = 2.690 Å, 2θ = 33.31°, I 51
- d = 2.348 Å, 2θ = 38.34°, I 38
- d = 2.301 Å, 2θ = 39.14°, I 73
- d = 1.654 Å, 2θ = 55.57°, I 22



(6)
This entry pairs a crystal structure of Li2YAl with its simulated X-ray diffraction stick pattern. Radiation: λ = 1.5418 Å (Cu Kα). Structure: a cell relaxed with PBE.

Cell and atoms:
Lattice parameters (Å, degrees): 6.685 6.685 6.685 151.27 135.79 53.58
Fractional positions:
Li: 0.220 0.220 0.000
Li: 0.780 0.780 0.000
Y: 0.500 0.500 0.000
Al: 0.000 0.000 0.000

Main lines, sorted by position (2θ from 10° to 90°):
- d = 5.968 Å, 2θ = 14.85°, I 100
- d = 4.636 Å, 2θ = 19.14°, I 35
- d = 3.196 Å, 2θ = 27.92°, I 14
- d = 3.121 Å, 2θ = 28.61°, I 16
- d = 2.984 Å, 2θ = 29.95°, I 24
- d = 2.769 Å, 2θ = 32.33°, I 41
- d = 2.513 Å, 2θ = 35.73°, I 59
- d = 2.318 Å, 2θ = 38.85°, I 17
- d = 2.030 Å, 2θ = 44.64°, I 31
- d = 1.615 Å, 2θ = 57.01°, I 15